Diffraction record for Nd4YS7. The XRD peak list is simulated, not measured: it uses a structure optimized by DFT (GGA-PBE) and Cu Kα (weighted mean of Kα1 and Kα2).
Kinematic intensities with the Lorentz-polarization factor, no thermal factor.

Main lines, low angle first (2θ = 15–90°):
- 3.812 Å, 23.34°, I 100
- 3.743 Å, 23.77°, I 87
- 3.321 Å, 26.84°, I 40
- 2.934 Å, 30.47°, I 39
- 2.791 Å, 32.07°, I 62
- 2.697 Å, 33.21°, I 52
- 2.202 Å, 40.99°, I 41
- 1.978 Å, 45.87°, I 47

Crystal structure
a = 6.9296 Å, b = 6.9296 Å, c = 11.8871 Å
α = 104.47°, β = 104.47°, γ = 33.00°
Fractional positions:
Nd: 0.0000 0.0000 0.0000
Nd: 0.1899 0.1899 0.7679
Nd: 0.5874 0.5874 0.3839
Nd: 0.8880 0.8880 0.5735
Y: 0.7764 0.7764 0.1538
S: 0.1550 0.1550 0.2232
S: 0.2275 0.2275 0.5243
S: 0.3841 0.3841 0.0788
S: 0.5485 0.5485 0.6269
S: 0.6310 0.6310 0.9323
S: 0.8473 0.8473 0.7911
S: 0.9282 0.9282 0.3552